Entry 1:
Structure and calculated powder diffraction line list of NaIn3 (the PBE geometry in Alexandria; Cu Kα X-rays).

Principal peaks in the range 10 to 90 degrees two-theta, by angle:
hkl, 2θ (°), Rel. int.
1 0 0, 18.76, 18
1 1 0, 26.66, 15
1 1 1, 32.80, 100
2 0 0, 38.06, 50
2 1 0, 42.76, 9
2 1 1, 47.07, 7
2 2 0, 54.92, 33
3 1 1, 65.46, 38
2 2 2, 68.77, 11
4 0 0, 81.40, 5

Cell and atoms:
Unit cell a=4.7289 b=4.7289 c=4.7289 alpha=90.00 beta=90.00 gamma=90.00
Atoms (fractional coordinates):
Na (0.0000, 0.0000, 0.0000)
In (0.0000, 0.5000, 0.5000)
In (0.5000, 0.0000, 0.5000)
In (0.5000, 0.5000, 0.0000)


Entry 2:
Structure and calculated powder diffraction line list of Na3In5 (the PBE geometry in Alexandria; Cu Kα X-rays).

Principal peaks in the range 10 to 90 degrees two-theta, by angle:
hkl, 2θ (°), Rel. int.
1 0 1, 19.14, 21
1 0 3, 23.56, 16
1 1 4, 32.83, 100
2 0 0, 37.53, 35
0 0 8, 39.15, 20
2 2 0, 54.12, 12
2 0 8, 55.36, 25
3 1 4, 64.76, 26
1 1 12, 66.99, 12
2 2 8, 68.82, 12

Cell and atoms:
Unit cell a=4.7929 b=4.7929 c=18.3980 alpha=90.00 beta=90.00 gamma=90.00
Atoms (fractional coordinates):
Na (0.0000, 0.0000, 0.0000)
Na (0.0000, 0.5000, 0.1279)
Na (0.0000, 0.5000, 0.3721)
Na (0.5000, 0.0000, 0.6279)
Na (0.5000, 0.0000, 0.8721)
Na (0.5000, 0.5000, 0.5000)
In (0.0000, 0.0000, 0.2468)
In (0.0000, 0.0000, 0.5000)
In (0.0000, 0.0000, 0.7532)
In (0.0000, 0.5000, 0.6239)
In (0.0000, 0.5000, 0.8761)
In (0.5000, 0.0000, 0.1239)
In (0.5000, 0.0000, 0.3761)
In (0.5000, 0.5000, 0.0000)
In (0.5000, 0.5000, 0.2532)
In (0.5000, 0.5000, 0.7468)